Starting from a structure optimized by DFT (PBE), the powder diffractogram of CeScCo was simulated for Cu Kα.

The 6 most intense peaks (10° ≤ 2θ ≤ 80°), by angle:
| index | 2θ (°) | I (rel.) |
| --- | --- | --- |
| 1 0 0 | 18.0 | 100.0 |
| 1 1 1 | 31.6 | 36.7 |
| 1 1 -3 | 33.0 | 61.3 |
| 1 2 -1 | 33.7 | 98.6 |
| 2 1 0 | 39.6 | 44.6 |
| 2 1 -4 | 42.0 | 40.9 |

Structure:
```
CeScCo
1.0
6.362 0.000 0.000
0.000 5.852 0.000
-5.882 0.000 7.235
Ce Sc Co
4 4 4
Direct
0.091 0.138 0.375 Ce
0.091 0.362 0.875 Ce
0.909 0.638 0.125 Ce
0.909 0.862 0.625 Ce
0.434 0.615 0.643 Sc
0.434 0.885 0.143 Sc
0.566 0.115 0.857 Sc
0.566 0.385 0.357 Sc
0.086 0.169 0.125 Co
0.086 0.331 0.625 Co
0.914 0.669 0.375 Co
0.914 0.831 0.875 Co
```